Starting from a structure optimized by DFT (GGA-PBE), the powder XRD pattern of GeTe4Pd was computed for Cu Kα (λ = 1.5418 Å).
Lines closer than 0.1° are merged.

Crystal structure
Lattice parameters (Å, degrees): 5.320 4.164 7.125 90.00 90.36 90.00
Positions (direct):
Ge (0.000, 0.000, 0.000)
Te (0.275, 0.000, 0.653)
Te (0.289, 0.500, 0.184)
Te (0.711, 0.500, 0.816)
Te (0.725, 0.000, 0.347)
Pd (0.000, 0.500, 0.500)

Largest 6 diffraction maxima, by angle, 10 to 80 degrees two-theta:
- 30.0 deg, I 1000
- 30.1 deg, I 448
- 42.2 deg, I 311
- 43.5 deg, I 181
- 43.9 deg, I 329
- 53.8 deg, I 173

***

Starting from a structure optimized by DFT (GGA-PBE), the powder XRD pattern of GeTe4Pd2 was computed for Cu Kα (λ = 1.5418 Å).
Lines closer than 0.1° are merged.

Crystal structure
Lattice parameters (Å, degrees): 8.397 8.392 7.845 62.18 62.11 55.71
Positions (direct):
Ge (0.125, 0.125, 0.125)
Ge (0.875, 0.875, 0.875)
Te (0.238, 0.712, 0.276)
Te (0.275, 0.276, 0.712)
Te (0.276, 0.275, 0.238)
Te (0.288, 0.762, 0.725)
Te (0.712, 0.238, 0.275)
Te (0.724, 0.725, 0.762)
Te (0.725, 0.724, 0.288)
Te (0.762, 0.288, 0.724)
Pd (0.000, 0.500, 0.500)
Pd (0.500, 0.000, 0.500)
Pd (0.500, 0.500, 0.000)
Pd (0.500, 0.500, 0.500)

Largest 6 diffraction maxima, by angle, 10 to 80 degrees two-theta:
- 13.3 deg, I 542
- 26.4 deg, I 540
- 28.3 deg, I 503
- 32.3 deg, I 968
- 43.5 deg, I 1000
- 46.3 deg, I 533

***

Starting from a structure optimized by DFT (GGA-PBE), the powder XRD pattern of Th2Ge3Pd was computed for Cu Kα (λ = 1.5418 Å).
Lines closer than 0.1° are merged.

Crystal structure
Lattice parameters (Å, degrees): 4.100 4.453 7.317 90.00 90.00 90.00
Positions (direct):
Th (0.000, 0.000, 0.000)
Th (0.000, 0.500, 0.496)
Ge (0.500, 0.000, 0.328)
Ge (0.500, 0.000, 0.669)
Ge (0.500, 0.500, 0.165)
Pd (0.500, 0.500, 0.828)

Largest 6 diffraction maxima, by angle, 10 to 80 degrees two-theta:
- 23.4 deg, I 236
- 32.1 deg, I 1000
- 32.8 deg, I 497
- 42.2 deg, I 390
- 53.1 deg, I 259
- 62.8 deg, I 242

***

Starting from a structure optimized by DFT (GGA-PBE), the powder XRD pattern of Th2Ge3Pd was computed for Cu Kα (λ = 1.5418 Å).
Lines closer than 0.1° are merged.

Crystal structure
Lattice parameters (Å, degrees): 8.570 8.515 5.999 69.93 68.96 41.11
Positions (direct):
Th (0.245, 0.755, 0.755)
Th (0.250, 0.250, 0.250)
Th (0.750, 0.750, 0.750)
Th (0.755, 0.245, 0.245)
Ge (0.168, 0.664, 0.336)
Ge (0.170, 0.170, 0.830)
Ge (0.336, 0.832, 0.168)
Ge (0.664, 0.168, 0.832)
Ge (0.830, 0.830, 0.170)
Ge (0.832, 0.336, 0.664)
Pd (0.335, 0.335, 0.665)
Pd (0.665, 0.665, 0.335)

Largest 6 diffraction maxima, by angle, 10 to 80 degrees two-theta:
- 24.0 deg, I 211
- 32.2 deg, I 1000
- 42.2 deg, I 260
- 54.0 deg, I 158
- 61.9 deg, I 250
- 70.9 deg, I 141

***

Starting from a structure optimized by DFT (GGA-PBE), the powder XRD pattern of Th2Ge6Pd21 was computed for Cu Kα (λ = 1.5418 Å).
Lines closer than 0.1° are merged.

Crystal structure
Lattice parameters (Å, degrees): 8.833 8.833 8.833 60.00 60.00 60.00
Positions (direct):
Th (0.250, 0.250, 0.250)
Th (0.750, 0.750, 0.750)
Ge (0.236, 0.236, 0.764)
Ge (0.236, 0.764, 0.236)
Ge (0.236, 0.764, 0.764)
Ge (0.764, 0.236, 0.236)
Ge (0.764, 0.236, 0.764)
Ge (0.764, 0.764, 0.236)
Pd (0.118, 0.118, 0.118)
Pd (0.118, 0.118, 0.647)
Pd (0.118, 0.647, 0.118)
Pd (0.152, 0.500, 0.500)
Pd (0.152, 0.500, 0.848)
Pd (0.152, 0.848, 0.500)
Pd (0.353, 0.882, 0.882)
Pd (0.500, 0.152, 0.500)
Pd (0.500, 0.152, 0.848)
Pd (0.500, 0.500, 0.152)
Pd (0.500, 0.500, 0.500)
Pd (0.500, 0.500, 0.848)
Pd (0.500, 0.848, 0.152)
Pd (0.500, 0.848, 0.500)
Pd (0.647, 0.118, 0.118)
Pd (0.848, 0.152, 0.500)
Pd (0.848, 0.500, 0.152)
Pd (0.848, 0.500, 0.500)
Pd (0.882, 0.353, 0.882)
Pd (0.882, 0.882, 0.353)
Pd (0.882, 0.882, 0.882)

Largest 6 diffraction maxima, by angle, 10 to 80 degrees two-theta:
- 32.0 deg, I 328
- 35.2 deg, I 374
- 37.4 deg, I 1000
- 40.9 deg, I 626
- 48.3 deg, I 376
- 74.4 deg, I 338

***

Starting from a structure optimized by DFT (GGA-PBE), the powder XRD pattern of ThGe4Pd6 was computed for Cu Kα (λ = 1.5418 Å).
Lines closer than 0.1° are merged.

Crystal structure
Lattice parameters (Å, degrees): 7.330 7.330 4.033 90.00 90.00 120.00
Positions (direct):
Th (0.000, 0.000, 0.000)
Ge (0.333, 0.667, 0.000)
Ge (0.389, 0.195, 0.500)
Ge (0.805, 0.195, 0.500)
Ge (0.805, 0.611, 0.500)
Pd (0.198, 0.397, 0.500)
Pd (0.198, 0.802, 0.500)
Pd (0.535, 0.070, 0.000)
Pd (0.535, 0.465, 0.000)
Pd (0.603, 0.802, 0.500)
Pd (0.930, 0.465, 0.000)

Largest 6 diffraction maxima, by angle, 10 to 80 degrees two-theta:
- 33.0 deg, I 329
- 36.0 deg, I 1000
- 37.5 deg, I 349
- 43.9 deg, I 194
- 45.0 deg, I 246
- 49.8 deg, I 254

***

Starting from a structure optimized by DFT (GGA-PBE), the powder XRD pattern of Th4Ge2Pd was computed for Cu Kα (λ = 1.5418 Å).
Lines closer than 0.1° are merged.

Crystal structure
Lattice parameters (Å, degrees): 7.861 7.861 7.861 110.82 110.82 106.80
Positions (direct):
Th (0.122, 0.238, 0.742)
Th (0.131, 0.746, 0.758)
Th (0.254, 0.012, 0.384)
Th (0.496, 0.381, 0.258)
Th (0.619, 0.878, 0.116)
Th (0.628, 0.869, 0.616)
Th (0.762, 0.504, 0.884)
Th (0.988, 0.372, 0.242)
Ge (0.259, 0.625, 0.134)
Ge (0.375, 0.509, 0.634)
Ge (0.491, 0.125, 0.866)
Ge (0.875, 0.741, 0.366)
Pd (0.000, 0.000, 0.000)
Pd (0.750, 0.250, 0.500)

Largest 6 diffraction maxima, by angle, 10 to 80 degrees two-theta:
- 30.3 deg, I 1000
- 31.6 deg, I 808
- 31.7 deg, I 943
- 36.5 deg, I 595
- 37.2 deg, I 613
- 37.6 deg, I 532

***

Starting from a structure optimized by DFT (GGA-PBE), the powder XRD pattern of Ti6GePd5 was computed for Cu Kα (λ = 1.5418 Å).
Lines closer than 0.1° are merged.

Crystal structure
Lattice parameters (Å, degrees): 6.357 6.357 7.796 90.00 90.00 143.53
Positions (direct):
Ti (0.000, 0.000, 0.249)
Ti (0.000, 0.000, 0.751)
Ti (0.333, 0.667, 0.250)
Ti (0.333, 0.667, 0.750)
Ti (0.667, 0.333, 0.250)
Ti (0.667, 0.333, 0.750)
Ge (0.500, 0.500, 0.500)
Pd (0.166, 0.834, 0.500)
Pd (0.167, 0.833, 0.000)
Pd (0.500, 0.500, 0.000)
Pd (0.833, 0.167, 0.000)
Pd (0.834, 0.166, 0.500)

Largest 6 diffraction maxima, by angle, 10 to 80 degrees two-theta:
- 22.8 deg, I 139
- 31.6 deg, I 124
- 39.3 deg, I 1000
- 45.0 deg, I 167
- 45.6 deg, I 161
- 46.6 deg, I 152

***

Starting from a structure optimized by DFT (GGA-PBE), the powder XRD pattern of Ti8Ge2Pd3 was computed for Cu Kα (λ = 1.5418 Å).
Lines closer than 0.1° are merged.

Crystal structure
Lattice parameters (Å, degrees): 7.551 7.551 4.614 90.00 90.00 121.05
Positions (direct):
Ti (0.105, 0.895, 0.000)
Ti (0.185, 0.425, 0.500)
Ti (0.315, 0.685, 0.000)
Ti (0.425, 0.185, 0.500)
Ti (0.575, 0.815, 0.500)
Ti (0.685, 0.315, 0.000)
Ti (0.815, 0.575, 0.500)
Ti (0.895, 0.105, 0.000)
Ge (0.215, 0.785, 0.500)
Ge (0.785, 0.215, 0.500)
Pd (0.000, 0.000, 0.500)
Pd (0.315, 0.315, 0.000)
Pd (0.685, 0.685, 0.000)

Largest 6 diffraction maxima, by angle, 10 to 80 degrees two-theta:
- 13.5 deg, I 296
- 36.9 deg, I 496
- 39.0 deg, I 613
- 41.3 deg, I 885
- 41.6 deg, I 1000
- 54.8 deg, I 302

***

Starting from a structure optimized by DFT (GGA-PBE), the powder XRD pattern of Tl5Ge2Pd12 was computed for Cu Kα (λ = 1.5418 Å).
Lines closer than 0.1° are merged.

Crystal structure
Lattice parameters (Å, degrees): 7.400 7.400 6.963 103.96 103.96 73.75
Positions (direct):
Tl (0.000, 0.000, 0.000)
Tl (0.288, 0.288, 0.367)
Tl (0.319, 0.319, 0.914)
Tl (0.681, 0.681, 0.086)
Tl (0.712, 0.712, 0.633)
Ge (0.242, 0.758, 0.500)
Ge (0.758, 0.242, 0.500)
Pd (0.099, 0.638, 0.140)
Pd (0.103, 0.614, 0.706)
Pd (0.123, 0.123, 0.571)
Pd (0.362, 0.901, 0.860)
Pd (0.386, 0.897, 0.294)
Pd (0.499, 0.499, 0.709)
Pd (0.501, 0.501, 0.291)
Pd (0.614, 0.103, 0.706)
Pd (0.638, 0.099, 0.140)
Pd (0.877, 0.877, 0.429)
Pd (0.897, 0.386, 0.294)
Pd (0.901, 0.362, 0.860)

Largest 6 diffraction maxima, by angle, 10 to 80 degrees two-theta:
- 31.7 deg, I 362
- 31.9 deg, I 392
- 33.6 deg, I 391
- 37.8 deg, I 245
- 40.6 deg, I 1000
- 40.9 deg, I 461

***

Starting from a structure optimized by DFT (GGA-PBE), the powder XRD pattern of Tm3Ge4Pd2 was computed for Cu Kα (λ = 1.5418 Å).
Lines closer than 0.1° are merged.

Crystal structure
Lattice parameters (Å, degrees): 5.770 5.770 8.207 106.86 106.86 43.15
Positions (direct):
Tm (0.000, 0.000, 0.000)
Tm (0.371, 0.371, 0.306)
Tm (0.629, 0.629, 0.694)
Ge (0.073, 0.073, 0.396)
Ge (0.294, 0.294, 0.937)
Ge (0.706, 0.706, 0.063)
Ge (0.927, 0.927, 0.604)
Pd (0.311, 0.311, 0.638)
Pd (0.689, 0.689, 0.362)

Largest 6 diffraction maxima, by angle, 10 to 80 degrees two-theta:
- 32.9 deg, I 365
- 33.8 deg, I 1000
- 34.3 deg, I 396
- 34.5 deg, I 470
- 42.3 deg, I 557
- 42.6 deg, I 474

***

Starting from a structure optimized by DFT (GGA-PBE), the powder XRD pattern of Tm2Ge3Pd was computed for Cu Kα (λ = 1.5418 Å).
Lines closer than 0.1° are merged.

Crystal structure
Lattice parameters (Å, degrees): 10.562 4.278 6.826 90.00 130.11 90.00
Positions (direct):
Tm (0.000, 0.000, 0.000)
Tm (0.120, 0.000, 0.627)
Tm (0.500, 0.500, 0.000)
Tm (0.620, 0.500, 0.627)
Ge (0.217, 0.500, 0.017)
Ge (0.391, 0.000, 0.588)
Ge (0.428, 0.000, 0.213)
Ge (0.717, 0.000, 0.017)
Ge (0.891, 0.500, 0.588)
Ge (0.928, 0.500, 0.213)
Pd (0.232, 0.500, 0.416)
Pd (0.732, 0.000, 0.416)

Largest 6 diffraction maxima, by angle, 10 to 80 degrees two-theta:
- 33.2 deg, I 609
- 34.4 deg, I 316
- 35.4 deg, I 1000
- 35.9 deg, I 219
- 39.5 deg, I 378
- 42.2 deg, I 332